For Ce3Th2O9, DFT lattice parameters and positions (GGA-PBE) gives the theoretical XRD peak list in this record (λ = 1.5418 Å (Cu Kα)).
Peak positions follow from Bragg's law for the DFT cell and can differ from measured ones.

Structure:
abc: 3.920 19.692 5.621
angles: 90.00 90.00 90.00
Space group Imm2 (No. 44)
Symmetry-distinct sites (fractional):
Ce (0.000, 0.000, 0.000) x2
Ce (0.000, 0.395, 0.948) x4
Th (0.000, 0.197, 0.953) x4
O (0.000, 0.087, 0.716) x4
O (0.000, 0.104, 0.214) x4
O (0.000, 0.298, 0.701) x4
O (0.000, 0.302, 0.202) x4
O (0.000, 0.500, 0.720) x2

Largest 10 diffraction maxima, by angle, 10 to 80 degrees two-theta:
- 27.70°, 3.220 Å, I = 100, hkl 1 0 1
- 31.84°, 2.810 Å, I = 11, hkl 0 0 2
- 32.22°, 2.778 Å, I = 23, hkl 1 5 0
- 45.93°, 1.976 Å, I = 33, hkl 1 5 2
- 46.09°, 1.969 Å, I = 8, hkl 0 10 0
- 46.32°, 1.960 Å, I = 9, hkl 2 0 0
- 54.24°, 1.691 Å, I = 14, hkl 0 5 3
- 54.65°, 1.679 Å, I = 15, hkl 1 10 1
- 54.80°, 1.675 Å, I = 15, hkl 2 5 1
- 76.50°, 1.245 Å, I = 6, hkl 1 15 0